Record 1
For La14ThMg, a DFT-relaxed cell (PBE, Alexandria) gives the simulated powder XRD pattern in this record (Cu Ka).

Structural model:
```
La14ThMg
1.0
7.348 0.000 0.000
0.000 7.348 0.000
0.000 0.000 10.483
La Th Mg
14 1 1
Cartesian
0.000 0.000 0.000
0.000 3.674 0.000
0.000 3.674 5.242
1.829 1.829 2.677
1.829 1.829 7.806
1.829 5.519 2.677
1.829 5.519 7.806
3.674 0.000 0.000
3.674 0.000 5.242
3.674 3.674 0.000
5.519 1.829 2.677
5.519 1.829 7.806
5.519 5.519 2.677
5.519 5.519 7.806
0.000 0.000 5.242
3.674 3.674 5.242
```

Most intense lines, 15 to 90 degrees two-theta, most intense first:
d [Å], I/Imax
3.009, 100.0
2.598, 33.6
1.568, 28.7
1.845, 24.2
2.621, 17.1
1.578, 14.4
1.504, 12.4
1.837, 12.0
1.197, 11.5
1.193, 5.8



Record 2
For ZrCdAu, a DFT-relaxed cell (PBE, Alexandria) gives the simulated powder XRD pattern in this record (Cu Ka).

Structural model:
```
ZrCdAu
1.0
4.813 0.000 0.000
-2.407 4.168 0.000
0.000 0.000 2.979
Zr Cd Au
1 1 1
Cartesian
0.000 0.000 0.000
0.000 2.779 1.489
2.407 1.389 1.489
```

Most intense lines, 15 to 90 degrees two-theta, most intense first:
d [Å], I/Imax
2.407, 100.0
2.424, 83.5
1.393, 29.0
1.708, 28.6
1.872, 27.9
1.267, 25.6
4.168, 21.3
2.979, 17.4
1.389, 17.4
1.203, 11.0



Record 3
For In8Hg6Sb, a DFT-relaxed cell (PBE, Alexandria) gives the simulated powder XRD pattern in this record (Cu Ka).

Structural model:
```
In8Hg6Sb
1.0
4.314 2.491 6.612
-4.314 2.491 6.612
0.000 -4.981 6.612
In Hg Sb
8 6 1
Cartesian
0.000 0.000 2.464
-2.287 0.396 7.844
-1.486 -1.783 11.991
0.801 -2.178 7.844
-0.801 2.178 11.991
1.486 1.783 7.844
2.287 -0.396 11.991
0.000 0.000 17.371
-2.005 0.159 4.822
0.865 -1.816 4.822
1.140 1.657 4.822
-1.140 -1.657 15.013
-0.865 1.816 15.013
2.005 -0.159 15.013
0.000 0.000 9.918
```

Most intense lines, 15 to 90 degrees two-theta, most intense first:
d [Å], I/Imax
2.796, 100.0
2.301, 50.8
3.306, 40.9
2.717, 38.9
2.624, 34.5
2.000, 33.6
3.613, 25.2
1.631, 17.4
2.454, 16.6
2.353, 15.0



Record 4
For BaTl3S8, a DFT-relaxed cell (PBE, Alexandria) gives the simulated powder XRD pattern in this record (Cu Ka).

Structural model:
```
BaTl3S8
1.0
6.910 0.000 0.000
-0.924 7.187 0.000
-2.647 -3.442 7.177
Ba Tl S
1 3 8
Cartesian
0.000 0.000 0.000
-0.375 4.063 3.512
0.326 0.383 7.112
3.565 0.416 3.461
-2.434 0.978 6.131
-0.400 1.111 3.006
0.791 -0.084 4.140
0.322 -2.479 6.440
2.601 6.761 0.679
2.477 4.520 4.134
3.572 3.356 2.876
5.863 4.084 0.543
```

Most intense lines, 15 to 90 degrees two-theta, most intense first:
d [Å], I/Imax
3.590, 100.0
3.422, 50.4
4.316, 35.3
4.220, 32.4
3.829, 27.3
2.566, 20.8
2.239, 20.5
2.541, 20.0
4.001, 19.9
2.160, 18.7



Record 5
For Sc6Rh5, a DFT-relaxed cell (PBE, Alexandria) gives the simulated powder XRD pattern in this record (Cu Ka).

Structural model:
```
Sc6Rh5
1.0
-2.287 3.164 6.880
2.287 -3.164 6.880
2.287 3.164 -6.880
Sc Rh
6 5
Cartesian
2.287 1.559 -2.267
0.000 1.549 0.000
2.287 1.559 2.267
0.000 1.605 4.613
0.000 4.779 0.000
0.000 1.605 9.147
0.000 0.000 2.351
2.287 0.000 4.620
0.000 0.000 6.880
0.000 3.164 2.260
0.000 0.000 11.410
```

Most intense lines, 15 to 90 degrees two-theta, most intense first:
d [Å], I/Imax
2.263, 100.0
2.287, 25.9
2.293, 25.9
1.620, 16.7
1.316, 16.2
1.318, 16.0
1.302, 15.5
3.239, 14.2
5.750, 10.3
1.132, 9.9



Record 6
For Sm5Dy12Th2, a DFT-relaxed cell (PBE, Alexandria) gives the simulated powder XRD pattern in this record (Cu Ka).

Structural model:
```
Sm5Dy12Th2
1.0
6.192 0.000 0.000
3.071 8.927 0.000
2.087 -0.707 11.068
Sm Dy Th
5 12 2
Cartesian
0.000 0.000 0.000
3.089 1.122 5.257
5.144 6.074 0.572
6.205 2.146 10.496
8.261 7.097 5.811
4.128 5.013 9.876
3.110 1.808 8.738
5.144 7.476 7.582
5.154 6.750 4.092
4.123 3.578 2.959
3.099 0.346 1.745
8.251 7.874 9.323
7.226 4.641 8.109
6.196 1.470 6.976
6.205 0.744 3.486
8.239 6.411 2.330
7.222 3.207 1.192
4.141 4.282 6.381
7.209 3.937 4.687
```

Most intense lines, 15 to 90 degrees two-theta, most intense first:
d [Å], I/Imax
2.917, 100.0
2.525, 67.5
2.911, 33.2
1.522, 28.6
1.784, 24.0
1.524, 19.2
1.787, 16.1
1.158, 11.8
1.521, 9.5
1.458, 8.2



Record 7
For Tb5SmYSc2, a DFT-relaxed cell (PBE, Alexandria) gives the simulated powder XRD pattern in this record (Cu Ka).

Structural model:
```
Tb5SmYSc2
1.0
2.804 -10.788 0.000
2.804 10.788 0.000
0.000 0.000 9.348
Tb Sm Y Sc
10 2 2 4
Cartesian
2.804 10.594 4.674
2.804 5.070 7.649
2.804 4.166 1.904
2.804 2.337 4.959
2.804 0.688 2.178
2.804 -0.688 6.852
2.804 -2.337 0.285
2.804 -4.166 6.578
2.804 -5.070 2.975
2.804 -10.594 0.000
2.804 6.796 4.704
2.804 -6.796 0.030
2.804 2.106 8.443
2.804 -2.106 3.769
2.804 8.344 7.567
2.804 7.803 1.711
2.804 -7.803 6.385
2.804 -8.344 2.893
```

Most intense lines, 15 to 90 degrees two-theta, most intense first:
d [Å], I/Imax
2.760, 100.0
2.702, 72.9
2.804, 56.8
2.595, 43.4
3.356, 27.2
3.540, 24.8
1.610, 19.7
2.152, 16.0
1.599, 14.3
4.677, 14.2